Entry 1:
Computed XRD peak list of ReB2Mo2 for a wavelength of 1.5418 Å, from a PBE-relaxed structure.

Structural model:
a b c (Å): 5.979 5.979 6.392
angles (deg): 90.00 90.00 90.00
Positions (direct):
Re (0.000, 0.000, 0.223)
Re (0.000, 0.000, 0.777)
Re (0.500, 0.500, 0.277)
Re (0.500, 0.500, 0.723)
B (0.116, 0.384, 0.250)
B (0.116, 0.384, 0.750)
B (0.384, 0.884, 0.250)
B (0.384, 0.884, 0.750)
B (0.616, 0.116, 0.250)
B (0.616, 0.116, 0.750)
B (0.884, 0.616, 0.250)
B (0.884, 0.616, 0.750)
Mo (0.161, 0.680, 0.500)
Mo (0.180, 0.661, 0.000)
Mo (0.320, 0.161, 0.500)
Mo (0.339, 0.180, 0.000)
Mo (0.661, 0.820, 0.000)
Mo (0.680, 0.839, 0.500)
Mo (0.820, 0.339, 0.000)
Mo (0.839, 0.320, 0.500)

Largest 10 diffraction maxima, in order of rising 2θ, 2θ = 5–70°:
two_theta, intensity
21.01, 58.8
33.51, 40.3
35.20, 86.3
41.35, 100.0
42.78, 33.0
44.16, 48.5
45.17, 10.0
48.13, 64.9
57.68, 14.5
69.41, 15.7

Entry 2:
Computed XRD peak list of B2Mo2Ru for a wavelength of 1.5418 Å, from a PBE-relaxed structure.

Structural model:
a b c (Å): 7.543 9.626 3.095
angles (deg): 90.00 90.00 90.00
Positions (direct):
B (0.113, 0.040, 0.000)
B (0.121, 0.233, 0.000)
B (0.379, 0.733, 0.500)
B (0.387, 0.540, 0.500)
B (0.613, 0.460, 0.500)
B (0.621, 0.267, 0.500)
B (0.879, 0.767, 0.000)
B (0.887, 0.960, 0.000)
Mo (0.078, 0.861, 0.500)
Mo (0.194, 0.630, 0.000)
Mo (0.306, 0.130, 0.500)
Mo (0.422, 0.361, 0.000)
Mo (0.578, 0.639, 0.000)
Mo (0.694, 0.870, 0.500)
Mo (0.806, 0.370, 0.000)
Mo (0.922, 0.139, 0.500)
Ru (0.118, 0.392, 0.500)
Ru (0.382, 0.892, 0.000)
Ru (0.618, 0.108, 0.000)
Ru (0.882, 0.608, 0.500)

Largest 10 diffraction maxima, in order of rising 2θ, 2θ = 5–70°:
two_theta, intensity
31.23, 25.1
32.62, 15.4
36.95, 14.0
37.37, 41.9
40.48, 56.2
42.18, 100.0
42.30, 16.0
49.47, 15.2
59.75, 13.6
69.29, 10.9